Entry 1:
For Sm5Te4P, a crystal structure in Alexandria, relaxed with GGA-PBE gives the computed powder diffraction line list in this record (Cu Kα X-rays).
No peak broadening, texture or thermal motion is included.

Structure:
```
10
Lattice="-2.1648 2.1648 15.9000 2.1648 -2.1648 15.9000 2.1648 2.1648 -15.9000" Properties=species:S:1:pos:R:3 pbc="T T T"
Sm 0.0000 0.0000 0.0000
Sm 0.0000 0.0000 6.6697
Sm 0.0000 0.0000 13.1673
Sm 0.0000 0.0000 18.6327
Sm 0.0000 0.0000 25.1303
Te 0.0000 0.0000 3.2568
Te 0.0000 0.0000 9.8245
Te 0.0000 0.0000 21.9755
Te 0.0000 0.0000 28.5432
P 0.0000 0.0000 15.9000
```

The 8 most intense peaks (15 to 90 degrees two-theta), sorted by position:
2theta	d [Å]	I_rel
28.06	3.180	39
29.17	3.062	100
32.71	2.737	29
40.92	2.206	56
41.72	2.165	38
51.04	1.790	30
68.54	1.369	17
75.62	1.258	18



Entry 2:
For Sm3YP4, a crystal structure in Alexandria, relaxed with GGA-PBE gives the computed powder diffraction line list in this record (Cu Kα X-rays).
No peak broadening, texture or thermal motion is included.

Structure:
```
16
Lattice="8.1683 0.0000 0.0000 0.0000 11.5498 0.0000 0.0000 0.0000 4.0868" Properties=species:S:1:pos:R:3 pbc="T T T"
Sm 0.0000 0.0000 0.0000
Sm 2.0421 2.8874 2.0434
Sm 2.0421 8.6623 2.0434
Sm 4.0842 5.7749 0.0000
Sm 6.1263 2.8874 2.0434
Sm 6.1263 8.6623 2.0434
Y 0.0000 5.7749 0.0000
Y 4.0842 0.0000 0.0000
P 0.0000 2.9087 0.0000
P 0.0000 8.6411 0.0000
P 2.0135 5.7749 2.0434
P 2.0707 0.0000 2.0434
P 4.0842 2.8662 0.0000
P 4.0842 8.6836 0.0000
P 6.0977 0.0000 2.0434
P 6.1548 5.7749 2.0434
```

The 8 most intense peaks (15 to 90 degrees two-theta), sorted by position:
2theta	d [Å]	I_rel
26.73	3.335	75
30.96	2.888	100
44.35	2.042	73
52.54	1.742	37
55.07	1.668	25
71.14	1.325	15
73.28	1.292	32
81.65	1.179	24



Entry 3:
For Sm5Y3P8, a crystal structure in Alexandria, relaxed with GGA-PBE gives the computed powder diffraction line list in this record (Cu Kα X-rays).
No peak broadening, texture or thermal motion is included.

Structure:
```
16
Lattice="4.0730 2.3516 6.6508 -4.0730 2.3516 6.6508 0.0000 -4.7031 6.6508" Properties=species:S:1:pos:R:3 pbc="T T T"
Sm 0.0000 0.0000 0.0000
Sm -2.0365 -1.1758 6.6508
Sm -2.0365 1.1758 13.3015
Sm 0.0000 2.3516 6.6508
Sm 0.0000 0.0000 9.9761
Y -4.0730 0.0000 9.9761
Y -2.0365 1.1758 3.3254
Y 2.0365 1.1758 3.3254
P -2.0513 -1.1843 11.6147
P 0.0000 0.0000 4.9527
P 0.0000 -2.3686 8.3376
P -2.0513 1.1843 8.3376
P 2.0513 -1.1843 11.6147
P 0.0000 2.3686 11.6147
P 0.0000 0.0000 14.9996
P 2.0513 1.1843 8.3376
```

The 8 most intense peaks (15 to 90 degrees two-theta), sorted by position:
2theta	d [Å]	I_rel
26.81	3.326	71
31.05	2.880	100
44.49	2.036	72
52.71	1.737	34
55.24	1.663	25
71.38	1.321	14
73.53	1.288	32
81.94	1.176	24